1.
Simulated X-ray diffraction stick pattern
Compound: Er5In2Hg2
Radiation: Cu Kα
Structure: the GGA-PBE geometry in Alexandria

Crystal structure
```
Er5In2Hg2
1.0
8.0896 -4.2710 0.0000
8.0896 4.2710 0.0000
0.0000 0.0000 7.1817
Er In Hg
10 4 4
direct
0.0000 0.0000 0.0000
0.0473 0.6735 0.6601
0.1735 0.5473 0.1601
0.3265 0.9527 0.6601
0.4527 0.8265 0.1601
0.5000 0.5000 0.5000
0.5473 0.1735 0.8399
0.6735 0.0473 0.3399
0.8265 0.4527 0.8399
0.9527 0.3265 0.3399
0.2108 0.2108 0.0000
0.2892 0.2892 0.5000
0.7108 0.7108 0.5000
0.7892 0.7892 0.0000
0.1435 0.8565 0.3804
0.3565 0.6435 0.8804
0.6435 0.3565 0.1196
0.8565 0.1435 0.6196
```

Main lines, most intense first (2θ from 10° to 90°):
d = 2.821 Å, intensity 100
d = 2.612 Å, intensity 63
d = 2.718 Å, intensity 58
d = 2.937 Å, intensity 36
d = 3.343 Å, intensity 28
d = 2.697 Å, intensity 28

2.
Simulated X-ray diffraction stick pattern
Compound: CaIn2Ru
Radiation: Cu Kα
Structure: the GGA-PBE geometry in Alexandria

Crystal structure
```
CaIn2Ru
1.0
3.6445 0.0000 0.0000
0.0000 4.5303 0.0000
-1.8220 0.0000 5.5457
Ca In Ru
1 2 1
direct
0.0000 0.0000 0.0000
0.2744 0.0000 0.5503
0.6669 0.5000 0.3360
0.4036 0.5000 0.8042
```

Main lines, most intense first (2θ from 10° to 90°):
d = 2.751 Å, intensity 100
d = 2.365 Å, intensity 81
d = 2.252 Å, intensity 48
d = 2.595 Å, intensity 47
d = 2.265 Å, intensity 39
d = 3.462 Å, intensity 34

3.
Simulated X-ray diffraction stick pattern
Compound: CaTlB2
Radiation: Cu Kα
Structure: the GGA-PBE geometry in Alexandria

Crystal structure
```
CaTlB2
1.0
-2.1533 2.1533 8.1923
2.1533 -2.1533 8.1923
2.1533 2.1533 -8.1923
Ca Tl B
2 2 4
direct
0.3750 0.6250 0.7500
0.6250 0.3750 0.2500
0.1250 0.8750 0.2500
0.8750 0.1250 0.7500
0.0000 0.0000 0.0000
0.0000 0.0000 0.5000
0.0000 0.5000 0.0000
0.5000 0.0000 0.5000
```

Main lines, most intense first (2θ from 10° to 90°):
d = 2.854 Å, intensity 100
d = 4.165 Å, intensity 63
d = 4.096 Å, intensity 53
d = 2.033 Å, intensity 38
d = 1.906 Å, intensity 31
d = 3.382 Å, intensity 27

4.
Simulated X-ray diffraction stick pattern
Compound: LiMg2Fe
Radiation: Cu Kα
Structure: the GGA-PBE geometry in Alexandria

Crystal structure
```
LiMg2Fe
1.0
2.9354 0.0000 0.0000
0.0000 3.7306 0.0000
-0.0596 0.0000 6.3243
Li Mg Fe
1 2 1
direct
0.0000 0.0000 0.0000
0.4984 0.5000 0.2699
0.5016 0.5000 0.7301
0.0000 0.0000 0.5000
```

Main lines, most intense first (2θ from 10° to 90°):
d = 6.324 Å, intensity 100
d = 2.412 Å, intensity 61
d = 2.307 Å, intensity 55
d = 2.162 Å, intensity 34
d = 3.213 Å, intensity 24
d = 2.141 Å, intensity 21

5.
Simulated X-ray diffraction stick pattern
Compound: Dy2ErPd3
Radiation: Cu Kα
Structure: the GGA-PBE geometry in Alexandria

Crystal structure
```
Dy2ErPd3
1.0
2.4963 -7.4940 0.0000
2.4963 7.4940 0.0000
0.0000 0.0000 3.4260
Dy Er Pd
2 1 3
direct
0.1666 0.8334 0.0000
0.8334 0.1666 0.0000
0.5000 0.5000 0.0000
0.0000 0.0000 0.5000
0.3358 0.6642 0.5000
0.6642 0.3358 0.5000
```

Main lines, most intense first (2θ from 10° to 90°):
d = 2.459 Å, intensity 100
d = 2.497 Å, intensity 52
d = 1.434 Å, intensity 37
d = 1.766 Å, intensity 18
d = 1.413 Å, intensity 17
d = 1.230 Å, intensity 11

6.
Simulated X-ray diffraction stick pattern
Compound: Pm3YAg4
Radiation: Cu Kα
Structure: the GGA-PBE geometry in Alexandria

Crystal structure
```
Pm3YAg4
1.0
3.6990 0.0000 0.0000
0.0000 3.6990 0.0000
0.0000 0.0000 14.9055
Pm Y Ag
3 1 4
direct
0.0000 0.0000 0.0000
0.0000 0.0000 0.2528
0.0000 0.0000 0.7472
0.0000 0.0000 0.5000
0.5000 0.5000 0.1260
0.5000 0.5000 0.3823
0.5000 0.5000 0.6177
0.5000 0.5000 0.8740
```

Main lines, most intense first (2θ from 10° to 90°):
d = 2.625 Å, intensity 100
d = 2.616 Å, intensity 50
d = 1.512 Å, intensity 35
d = 1.850 Å, intensity 18
d = 1.518 Å, intensity 17
d = 1.170 Å, intensity 15

7.
Simulated X-ray diffraction stick pattern
Compound: Er3Zn4Ag2
Radiation: Cu Kα
Structure: the GGA-PBE geometry in Alexandria

Crystal structure
```
Er3Zn4Ag2
1.0
5.2329 -2.2624 0.0000
5.2329 2.2624 0.0000
-3.7125 0.0000 7.7946
Er Zn Ag
3 4 2
direct
0.0000 0.0000 0.0000
0.3297 0.3297 0.3353
0.6703 0.6703 0.6647
0.0454 0.0454 0.3852
0.2739 0.2739 0.9465
0.7261 0.7261 0.0535
0.9546 0.9546 0.6148
0.3931 0.3931 0.7274
0.6069 0.6069 0.2726
```

Main lines, most intense first (2θ from 10° to 90°):
d = 2.587 Å, intensity 100
d = 2.278 Å, intensity 62
d = 2.595 Å, intensity 50
d = 2.262 Å, intensity 31
d = 1.705 Å, intensity 28
d = 1.368 Å, intensity 25

8.
Simulated X-ray diffraction stick pattern
Compound: Ba2Bi2Se3O2
Radiation: Cu Kα
Structure: the GGA-PBE geometry in Alexandria

Crystal structure
```
Ba2Bi2Se3O2
1.0
7.1072 -2.1190 0.0000
7.1072 2.1190 0.0000
-5.6714 0.0000 8.2827
Ba Bi Se O
2 2 3 2
direct
0.0989 0.0989 0.3930
0.9011 0.9011 0.6070
0.3139 0.3139 0.8655
0.6861 0.6861 0.1345
0.0000 0.0000 0.0000
0.3593 0.3593 0.2670
0.6407 0.6407 0.7330
0.3131 0.3131 0.6534
0.6869 0.6869 0.3466
```

Main lines, most intense first (2θ from 10° to 90°):
d = 3.150 Å, intensity 100
d = 3.325 Å, intensity 85
d = 2.631 Å, intensity 73
d = 2.874 Å, intensity 49
d = 2.051 Å, intensity 43
d = 1.787 Å, intensity 29